Computed powder XRD pattern of Cs4Na5In for copper Kα, from a structure optimized by DFT (PBE).

Largest 10 diffraction maxima, by intensity, 5 to 70 degrees two-theta:
2theta	I/Imax
19.7	1000
23.9	957
32.2	565
38.7	460
28.4	381
26.8	325
14.5	313
18.8	291
43.5	254
44.5	215

Atomic structure:
```
data_Cs4Na5In
_chemical_formula_sum 'Cs4 Na5 In1'
_symmetry_space_group_name_H-M 'P 1'
_symmetry_Int_Tables_number 1
_cell_length_a 10.026
_cell_length_b 10.026
_cell_length_c 10.026
_cell_angle_alpha 96.75
_cell_angle_beta 96.75
_cell_angle_gamma 139.90
loop_
_symmetry_equiv_pos_as_xyz
'x,y,z'
loop_
_atom_site_label
_atom_site_type_symbol
_atom_site_fract_x
_atom_site_fract_y
_atom_site_fract_z
_atom_site_occupancy
Cs1 Cs 0.000 0.287 0.287 1
Cs2 Cs 0.000 0.713 0.713 1
Cs3 Cs 0.287 0.000 0.287 1
Cs4 Cs 0.713 0.000 0.713 1
Na1 Na 0.237 0.237 0.000 1
Na2 Na 0.367 0.367 0.680 1
Na3 Na 0.367 0.687 0.000 1
Na4 Na 0.687 0.367 0.000 1
Na5 Na 0.687 0.687 0.320 1
In1 In 0.728 0.728 0.000 1
```